[1]
AlTlIn2: computed powder diffraction line list (Cu Kα X-rays), based on DFT lattice parameters and positions (PBE).
Kinematic intensities with the Lorentz-polarization factor, no thermal factor.

Cell and atoms:
```
data_AlTlIn2
_cell_length_a 7.471
_cell_length_b 7.471
_cell_length_c 7.471
_cell_angle_alpha 90.00
_cell_angle_beta 90.00
_cell_angle_gamma 90.00
_space_group_name_H-M_alt 'F -4 3 m'
_space_group_IT_number 216
_space_group_name_Hall 'F -4 2 3'
loop_
_atom_site_label
_atom_site_fract_x
_atom_site_fract_y
_atom_site_fract_z
Al1 0.000 0.000 0.000
Tl1 0.250 0.250 0.750
In1 0.000 0.000 0.500
In2 0.250 0.250 0.250
```

Most intense lines, 10 to 90 degrees two-theta, by angle:
(hkl), d/Å, 2theta, intensity
1 1 1, 4.314, 20.6, 16
2 0 0, 3.736, 23.8, 17
2 2 0, 2.641, 33.9, 100
3 1 1, 2.253, 40.0, 9
2 2 2, 2.157, 41.9, 5
4 0 0, 1.868, 48.8, 18
4 2 0, 1.671, 55.0, 7
4 2 2, 1.525, 60.7, 37
4 4 0, 1.321, 71.4, 11
6 2 0, 1.181, 81.5, 16



[2]
NaTlIn2Pb: computed powder diffraction line list (Cu Kα X-rays), based on DFT lattice parameters and positions (PBE).
Kinematic intensities with the Lorentz-polarization factor, no thermal factor.

Cell and atoms:
```
data_NaTlIn2Pb
_cell_length_a 6.350
_cell_length_b 15.774
_cell_length_c 6.266
_cell_angle_alpha 90.00
_cell_angle_beta 90.00
_cell_angle_gamma 90.00
_space_group_name_H-M_alt 'C m c m'
_space_group_IT_number 63
_space_group_name_Hall '-C 2c 2'
loop_
_atom_site_label
_atom_site_fract_x
_atom_site_fract_y
_atom_site_fract_z
Na1 0.000 0.249 0.250
Tl1 0.000 0.352 0.750
In1 0.246 0.500 0.000
Pb1 0.000 0.142 0.750
```

Most intense lines, 10 to 90 degrees two-theta, by angle:
(hkl), d/Å, 2theta, intensity
1 1 1, 4.292, 20.7, 100
1 3 1, 3.401, 26.2, 22
2 2 0, 2.945, 30.3, 30
0 2 2, 2.911, 30.7, 29
1 5 1, 2.576, 34.8, 57
2 4 0, 2.473, 36.3, 45
0 4 2, 2.453, 36.6, 44
2 0 2, 2.230, 40.5, 47
0 8 0, 1.970, 46.1, 21
2 6 2, 1.701, 53.9, 22



[3]
PrTm14Sc: computed powder diffraction line list (Cu Kα X-rays), based on DFT lattice parameters and positions (PBE).
Kinematic intensities with the Lorentz-polarization factor, no thermal factor.

Cell and atoms:
```
data_PrTm14Sc
_cell_length_a 10.909
_cell_length_b 8.080
_cell_length_c 10.971
_cell_angle_alpha 90.00
_cell_angle_beta 90.00
_cell_angle_gamma 90.00
_space_group_name_H-M_alt 'A m m 2'
_space_group_IT_number 38
loop_
_space_group_symop_operation_xyz
'x,y,z'
'-x,-y,z'
'-x,y,z'
'x,-y,z'
'x,y+1/2,z+1/2'
'-x,-y+1/2,z+1/2'
'-x,y+1/2,z+1/2'
'x,-y+1/2,z+1/2'
loop_
_atom_site_label
_atom_site_fract_x
_atom_site_fract_y
_atom_site_fract_z
Pr1 0.000 0.000 0.000
Tm1 0.000 0.204 0.715
Tm2 0.234 0.000 0.206
Tm3 0.250 0.212 0.926
Tm4 0.269 0.000 0.646
Tm5 0.500 0.000 0.410
Tm6 0.500 0.000 0.858
Tm7 0.500 0.205 0.137
Sc1 0.000 0.000 0.440
```

Most intense lines, 10 to 90 degrees two-theta, by angle:
(hkl), d/Å, 2theta, intensity
1 2 2, 3.117, 28.6, 9
2 1 3, 2.843, 31.5, 14
2 2 2, 2.794, 32.0, 100
0 0 4, 2.743, 32.6, 15
4 0 0, 2.727, 32.8, 32
1 0 4, 2.660, 33.7, 10
4 0 4, 1.934, 47.0, 10
0 3 5, 1.701, 53.9, 9
6 2 2, 1.587, 58.1, 17
4 3 5, 1.443, 64.6, 10